Pm5Ga4Ni: calculated X-ray powder pattern (Cu Kα), based on a structure optimized by DFT (PBE).
Lines closer than 0.1° are merged.

a = 3.6029 Å, b = 3.6029 Å, c = 18.4843 Å
α = 90.00°, β = 90.00°, γ = 90.00°
Element x y z (fractional)
Pm 0.0000 0.0000 0.0000
Pm 0.0000 0.0000 0.2047
Pm 0.0000 0.0000 0.4093
Pm 0.0000 0.0000 0.5907
Pm 0.0000 0.0000 0.7953
Ga 0.5000 0.5000 0.1017
Ga 0.5000 0.5000 0.3063
Ga 0.5000 0.5000 0.6937
Ga 0.5000 0.5000 0.8983
Ni 0.5000 0.5000 0.5000

Most intense lines, 15° ≤ 2θ ≤ 90°, in order of rising 2θ:
- 24.71°, 3.603 Å, I 15, (1 0 0)
- 34.77°, 2.580 Å, I 100, (1 0 5)
- 35.23°, 2.548 Å, I 50, (1 1 0)
- 49.30°, 1.848 Å, I 8, (0 0 10)
- 50.67°, 1.801 Å, I 18, (2 0 0)
- 62.03°, 1.496 Å, I 16, (1 1 10)
- 62.92°, 1.477 Å, I 35, (2 1 5)
- 73.39°, 1.290 Å, I 10, (2 0 10)
- 84.90°, 1.142 Å, I 8, (3 0 5)
- 85.16°, 1.139 Å, I 8, (3 1 0)